Simulated X-ray diffraction stick pattern of LaFe4C2 for Cu Kα X-rays, from a crystal structure in Alexandria, relaxed with GGA-PBE.
Lines closer than 0.1° are merged.

Structure:
Cell lengths 6.313, 6.313, 6.313 Å; angles 137.88, 137.88, 61.08 degrees
Sites, in units of the cell vectors:
1 La 0.000 0.000 0.000
2 Fe 0.000 0.500 0.500
3 Fe 0.273 0.273 0.000
4 Fe 0.500 0.000 0.500
5 Fe 0.727 0.727 0.000
6 C 0.438 0.438 0.000
7 C 0.562 0.562 0.000

Most intense lines, 2θ from 10° to 80°, by angle:
| d [Å] | 2θ (°) | intensity |
| --- | --- | --- |
| 5.437 | 16.30 | 79 |
| 4.187 | 21.22 | 61 |
| 2.832 | 31.59 | 77 |
| 2.719 | 32.95 | 69 |
| 2.269 | 39.73 | 100 |
| 1.742 | 52.54 | 69 |